[1]
This entry pairs a crystal structure of Na3H5Se4O16 with its calculated X-ray powder pattern. Radiation: λ = 1.5418 Å (Cu Kα). Structure: a GGA-PBE-relaxed structure.
Peak positions follow from Bragg's law for the DFT cell and can differ from measured ones.

Atomic structure:
abc: 5.987 7.417 9.065
angles: 104.98 92.63 105.67
Space group P1 (No. 1)
Inequivalent atoms, fractional coordinates:
Na 0.000 0.000 0.000 [1 per cell]
Na 0.176 0.359 0.407 [1 per cell]
Na 0.390 0.739 0.837 [1 per cell]
H 0.046 0.987 0.532 [1 per cell]
H 0.350 0.757 0.295 [1 per cell]
H 0.606 0.486 0.059 [1 per cell]
H 0.681 0.396 0.426 [1 per cell]
H 0.778 0.249 0.769 [1 per cell]
Se 0.394 0.222 0.754 [1 per cell]
Se 0.529 0.046 0.242 [1 per cell]
Se 0.864 0.704 0.592 [1 per cell]
Se 0.991 0.511 0.070 [1 per cell]
O 0.075 0.692 0.991 [1 per cell]
O 0.077 0.608 0.611 [1 per cell]
O 0.174 0.538 0.222 [1 per cell]
O 0.212 0.196 0.600 [1 per cell]
O 0.301 0.124 0.215 [1 per cell]
O 0.306 0.039 0.830 [1 per cell]
O 0.451 0.441 0.879 [1 per cell]
O 0.460 0.889 0.358 [1 per cell]
O 0.618 0.932 0.085 [1 per cell]
O 0.625 0.520 0.485 [1 per cell]
O 0.656 0.213 0.677 [1 per cell]
O 0.731 0.523 0.149 [1 per cell]
O 0.751 0.230 0.351 [1 per cell]
O 0.773 0.816 0.747 [1 per cell]
O 0.929 0.853 0.471 [1 per cell]
O 0.932 0.291 0.945 [1 per cell]

Most intense lines, 2θ from 5° to 70°, low angle first:
hkl 1 -1 0, 17.0°, I = 45; hkl 1 -1 1, 19.0°, I = 71; hkl -1 1 1, 20.8°, I = 67; hkl 0 1 -2, 20.9°, I = 56; hkl 1 1 0, 23.0°, I = 75; hkl 1 0 -2, 24.1°, I = 55; hkl 0 2 -1, 25.1°, I = 61; hkl 1 0 2, 27.3°, I = 100; hkl 0 2 1, 30.6°, I = 37; hkl 2 0 -1, 31.7°, I = 34

***

[2]
This entry pairs a crystal structure of BaSrI4 with its calculated X-ray powder pattern. Radiation: λ = 1.5418 Å (Cu Kα). Structure: a GGA-PBE-relaxed structure.
Peak positions follow from Bragg's law for the DFT cell and can differ from measured ones.

Atomic structure:
abc: 6.361 23.577 8.301
angles: 90.00 90.00 90.00
Space group Cmc2_1 (No. 36)
Inequivalent atoms, fractional coordinates:
Ba 0.000 0.188 0.000 [4 per cell]
Sr 0.000 0.415 0.902 [4 per cell]
I 0.000 0.099 0.347 [4 per cell]
I 0.000 0.290 0.693 [4 per cell]
I 0.000 0.322 0.207 [4 per cell]
I 0.000 0.455 0.521 [4 per cell]

Most intense lines, 2θ from 5° to 70°, low angle first:
hkl 0 2 0, 7.5°, I = 15; hkl 0 2 1, 13.0°, I = 15; hkl 1 1 0, 14.4°, I = 15; hkl 0 4 1, 18.5°, I = 18; hkl 1 3 1, 20.9°, I = 17; hkl 0 2 2, 22.7°, I = 16; hkl 0 6 1, 25.1°, I = 21; hkl 1 5 1, 25.9°, I = 30; hkl 2 0 0, 28.1°, I = 100; hkl 1 5 2, 32.0°, I = 34